Entry 1:
Pm6Sm3Er: theoretical X-ray powder pattern (CuKα), based on the GGA-PBE geometry in Alexandria.

Principal peaks in the range 5 to 70 degrees two-theta, sorted by position:
2θ/deg, I (rel.)
28.14, 38.5
28.28, 55.1
28.44, 42.9
31.12, 100.0
31.39, 52.0
33.54, 63.9

Cell and atoms:
abc: 11.0808 11.0808 6.4550
angles: 90.00 90.00 120.69
Positions (direct):
Pm: 0.0355 0.9645 0.5000
Pm: 0.0576 0.4760 0.0030
Pm: 0.2772 0.7228 0.7175
Pm: 0.2877 0.3728 0.8133
Pm: 0.3728 0.2877 0.3133
Pm: 0.4760 0.0576 0.5030
Pm: 0.5240 0.9424 0.0030
Pm: 0.6272 0.7123 0.8133
Pm: 0.7123 0.6272 0.3133
Pm: 0.7228 0.2772 0.2175
Pm: 0.9424 0.5240 0.5030
Pm: 0.9645 0.0355 0.0000
Sm: 0.0570 0.2887 0.4050
Sm: 0.2887 0.0570 0.9050
Sm: 0.3853 0.6147 0.2886
Sm: 0.6147 0.3853 0.7886
Sm: 0.7113 0.9430 0.4050
Sm: 0.9430 0.7113 0.9050
Er: 0.1930 0.8070 0.2532
Er: 0.8070 0.1930 0.7532



Entry 2:
Na3Cd4Pt2: theoretical X-ray powder pattern (CuKα), based on the GGA-PBE geometry in Alexandria.

Principal peaks in the range 5 to 70 degrees two-theta, sorted by position:
2θ/deg, I (rel.)
19.52, 31.7
23.58, 49.1
36.72, 100.0
37.56, 99.0
53.54, 33.1
67.23, 32.6

Cell and atoms:
abc: 4.7873 4.7873 9.0959
angles: 90.06 90.06 60.07
Positions (direct):
Na: 0.0000 0.0000 0.0000
Na: 0.3335 0.3335 0.5467
Na: 0.6665 0.6665 0.4533
Cd: 0.9999 0.9999 0.3180
Cd: 0.0001 0.0001 0.6820
Cd: 0.3333 0.3333 0.8824
Cd: 0.6667 0.6667 0.1176
Pt: 0.3333 0.3333 0.2082
Pt: 0.6667 0.6667 0.7918



Entry 3:
LiZn2Ag3: theoretical X-ray powder pattern (CuKα), based on the GGA-PBE geometry in Alexandria.

Principal peaks in the range 5 to 70 degrees two-theta, sorted by position:
2θ/deg, I (rel.)
24.98, 24.6
38.83, 100.0
39.58, 94.6
42.54, 76.7
51.25, 21.5
68.73, 36.6

Cell and atoms:
abc: 4.2512 7.1299 6.6618
angles: 90.00 106.80 90.00
Positions (direct):
Li: 0.1624 0.0000 0.3251
Li: 0.8376 0.0000 0.6749
Zn: 0.1705 0.5000 0.3393
Zn: 0.5000 0.0000 0.0000
Zn: 0.5000 0.5000 0.0000
Zn: 0.8295 0.5000 0.6607
Ag: 0.0000 0.2550 0.0000
Ag: 0.0000 0.7450 0.0000
Ag: 0.3326 0.2468 0.6663
Ag: 0.3326 0.7532 0.6663
Ag: 0.6674 0.2468 0.3337
Ag: 0.6674 0.7532 0.3337



Entry 4:
HgGe2Te2: theoretical X-ray powder pattern (CuKα), based on the GGA-PBE geometry in Alexandria.

Principal peaks in the range 5 to 70 degrees two-theta, sorted by position:
2θ/deg, I (rel.)
22.82, 42.3
24.64, 73.4
26.24, 56.8
33.13, 100.0
36.89, 42.5
44.37, 37.6

Cell and atoms:
abc: 7.5109 7.5109 7.4123
angles: 112.02 112.02 100.40
Positions (direct):
Hg: 0.0888 0.9112 0.7500
Hg: 0.9112 0.0888 0.2500
Ge: 0.2300 0.3904 0.9369
Ge: 0.3904 0.2300 0.4369
Ge: 0.6096 0.7700 0.5631
Ge: 0.7700 0.6096 0.0631
Te: 0.2497 0.7503 0.2500
Te: 0.3945 0.6055 0.7500
Te: 0.6055 0.3945 0.2500
Te: 0.7503 0.2497 0.7500



Entry 5:
Ge2Pb5SO12: theoretical X-ray powder pattern (CuKα), based on the GGA-PBE geometry in Alexandria.

Principal peaks in the range 5 to 70 degrees two-theta, sorted by position:
2θ/deg, I (rel.)
25.85, 45.1
28.96, 47.3
29.08, 55.4
29.42, 59.0
29.53, 100.0
29.78, 68.0

Cell and atoms:
abc: 10.3094 7.4688 10.3191
angles: 90.00 119.25 90.00
Positions (direct):
Ge: 0.0000 0.0000 0.0000
Ge: 0.0264 0.5000 0.4013
Ge: 0.3837 0.5000 0.9758
Ge: 0.8008 0.5000 0.7559
Pb: 0.0809 0.2601 0.7265
Pb: 0.0809 0.7399 0.7265
Pb: 0.1411 0.0000 0.3592
Pb: 0.1464 0.5000 0.1071
Pb: 0.3638 0.0000 0.0932
Pb: 0.3655 0.5000 0.6101
Pb: 0.6652 0.0000 0.6328
Pb: 0.6837 0.5000 0.4135
Pb: 0.7472 0.2678 0.0486
Pb: 0.7472 0.7322 0.0486
S: 0.4235 0.0000 0.7782
S: 0.7805 0.0000 0.3610
O: 0.0024 0.5000 0.8520
O: 0.0435 0.1864 0.1224
O: 0.0435 0.8136 0.1224
O: 0.1054 0.0000 0.9045
O: 0.1529 0.3155 0.4657
O: 0.1529 0.6845 0.4657
O: 0.2581 0.0000 0.7057
O: 0.2780 0.5000 0.7735
O: 0.3033 0.3128 0.0182
O: 0.3033 0.6872 0.0182
O: 0.4781 0.1623 0.7356
O: 0.4781 0.8377 0.7356
O: 0.4866 0.0000 0.9452
O: 0.5766 0.5000 0.0501
O: 0.6854 0.1625 0.3058
O: 0.6854 0.8375 0.3058
O: 0.7394 0.5000 0.8875
O: 0.7445 0.3151 0.6314
O: 0.7445 0.6849 0.6314
O: 0.8057 0.0000 0.8765
O: 0.8688 0.0000 0.5268
O: 0.8856 0.0000 0.2975
O: 0.8990 0.5000 0.2094
O: 0.9321 0.5000 0.5089



Entry 6:
Na2Tl9Pb4: theoretical X-ray powder pattern (CuKα), based on the GGA-PBE geometry in Alexandria.

Principal peaks in the range 5 to 70 degrees two-theta, sorted by position:
2θ/deg, I (rel.)
29.44, 48.8
31.58, 74.7
33.15, 51.8
33.33, 100.0
33.46, 45.8
33.60, 91.9

Cell and atoms:
abc: 8.3474 9.0410 13.7789
angles: 76.20 78.63 65.00
Positions (direct):
Na: 0.0924 0.4744 0.3297
Na: 0.2949 0.5285 0.0758
Na: 0.7051 0.4715 0.9242
Na: 0.9076 0.5256 0.6703
Tl: 0.0975 0.8541 0.2131
Tl: 0.1011 0.5239 0.8747
Tl: 0.1036 0.1939 0.5434
Tl: 0.2914 0.1478 0.1876
Tl: 0.2992 0.4771 0.5238
Tl: 0.2997 0.8056 0.8564
Tl: 0.4950 0.1426 0.3871
Tl: 0.4954 0.5271 0.2759
Tl: 0.4974 0.8058 0.0556
Tl: 0.5026 0.1942 0.9444
Tl: 0.5046 0.4729 0.7241
Tl: 0.5050 0.8574 0.6129
Tl: 0.7003 0.1944 0.1436
Tl: 0.7008 0.5229 0.4762
Tl: 0.7086 0.8522 0.8124
Tl: 0.8964 0.8061 0.4566
Tl: 0.8989 0.4761 0.1253
Tl: 0.9025 0.1459 0.7869
Pb: 0.0995 0.1368 0.9904
Pb: 0.1002 0.8119 0.6551
Pb: 0.2993 0.8592 0.4134
Pb: 0.3100 0.1860 0.7476
Pb: 0.6900 0.8140 0.2524
Pb: 0.7007 0.1408 0.5866
Pb: 0.8998 0.1881 0.3449
Pb: 0.9005 0.8632 0.0096



Entry 7:
CaAc3La: theoretical X-ray powder pattern (CuKα), based on the GGA-PBE geometry in Alexandria.

Principal peaks in the range 5 to 70 degrees two-theta, sorted by position:
2θ/deg, I (rel.)
12.12, 27.7
27.23, 24.0
27.34, 14.3
29.06, 100.0
34.72, 15.5
52.53, 24.7

Cell and atoms:
abc: 10.3357 10.3357 8.2289
angles: 90.00 90.00 89.63
Positions (direct):
Ca: 0.2451 0.2549 0.2500
Ca: 0.2549 0.2451 0.7500
Ca: 0.7451 0.7549 0.2500
Ca: 0.7549 0.7451 0.7500
Ac: 0.0961 0.9039 0.8677
Ac: 0.0985 0.6094 0.1207
Ac: 0.1094 0.5985 0.6207
Ac: 0.3906 0.9015 0.1207
Ac: 0.4015 0.8906 0.6207
Ac: 0.4039 0.5961 0.3677
Ac: 0.5961 0.4039 0.6323
Ac: 0.5985 0.1094 0.3793
Ac: 0.6094 0.0985 0.8793
Ac: 0.8906 0.4015 0.3793
Ac: 0.9015 0.3906 0.8793
Ac: 0.9039 0.0961 0.1323
La: 0.0966 0.9034 0.3946
La: 0.4034 0.5966 0.8946
La: 0.5966 0.4034 0.1054
La: 0.9034 0.0966 0.6054



Entry 8:
Cs3NaCu2Cl9: theoretical X-ray powder pattern (CuKα), based on the GGA-PBE geometry in Alexandria.

Principal peaks in the range 5 to 70 degrees two-theta, sorted by position:
2θ/deg, I (rel.)
24.47, 71.7
24.64, 66.9
30.26, 60.5
35.01, 100.0
43.28, 31.3
50.53, 33.0

Cell and atoms:
abc: 7.2256 7.2256 8.9394
angles: 90.00 90.00 120.00
Positions (direct):
Cs: 0.0000 0.0000 0.0000
Cs: 0.3333 0.6667 0.6606
Cs: 0.6667 0.3333 0.3394
Na: 0.0000 0.0000 0.5000
Cu: 0.3333 0.6667 0.1593
Cu: 0.6667 0.3333 0.8407
Cl: 0.0000 0.5000 0.0000
Cl: 0.1771 0.3541 0.3080
Cl: 0.1771 0.8229 0.3080
Cl: 0.3541 0.1771 0.6920
Cl: 0.5000 0.0000 0.0000
Cl: 0.5000 0.5000 0.0000
Cl: 0.6459 0.8229 0.3080
Cl: 0.8229 0.1771 0.6920
Cl: 0.8229 0.6459 0.6920



Entry 9:
Pm2Nd3Hg2: theoretical X-ray powder pattern (CuKα), based on the GGA-PBE geometry in Alexandria.

Principal peaks in the range 5 to 70 degrees two-theta, sorted by position:
2θ/deg, I (rel.)
29.35, 36.5
30.89, 100.0
32.91, 48.5
34.31, 71.6
39.14, 29.6
59.37, 31.6

Cell and atoms:
abc: 16.2171 16.2171 3.6929
angles: 90.00 90.00 166.82
Positions (direct):
Pm: 0.2025 0.7975 0.0000
Pm: 0.7975 0.2025 0.0000
Nd: 0.0797 0.9203 0.0000
Nd: 0.5000 0.5000 0.5000
Nd: 0.9203 0.0797 0.0000
Hg: 0.3580 0.6420 0.5000
Hg: 0.6420 0.3580 0.5000



Entry 10:
La2GaPt7: theoretical X-ray powder pattern (CuKα), based on the GGA-PBE geometry in Alexandria.

Principal peaks in the range 5 to 70 degrees two-theta, sorted by position:
2θ/deg, I (rel.)
23.16, 27.7
30.97, 33.8
34.58, 100.0
42.82, 43.4
43.08, 49.8
44.87, 56.0

Cell and atoms:
abc: 4.0402 4.0402 12.3860
angles: 90.00 90.00 90.00
Positions (direct):
La: 0.0000 0.5000 0.2315
La: 0.5000 0.0000 0.7685
Ga: 0.0000 0.0000 0.5000
Pt: 0.0000 0.0000 0.0000
Pt: 0.0000 0.5000 0.6402
Pt: 0.0000 0.5000 0.8483
Pt: 0.5000 0.0000 0.1517
Pt: 0.5000 0.0000 0.3598
Pt: 0.5000 0.5000 0.0000
Pt: 0.5000 0.5000 0.5000